No. 1
The following is a calculated powder diffraction line list of La2Si2N5. It was derived from a structure optimized by DFT (GGA-PBE), using Cu Kα X-rays.
Neutral-atom scattering factors, no anomalous dispersion.

Structure:
Unit cell a=10.263 b=3.840 c=5.975 alpha=90.00 beta=102.42 gamma=90.00
Space group C2/m (No. 12)
Asymmetric unit:
La  0.103  0.000  0.321 (multiplicity 4)
Si  0.152  0.500  0.896 (multiplicity 4)
N  0.000  0.500  0.000 (multiplicity 2)
N  0.146  0.500  0.601 (multiplicity 4)
N  0.177  0.000  0.940 (multiplicity 4)

Most intense lines, 10° ≤ 2θ ≤ 80°, by angle:
- 2θ = 20.73°, d 4.284, I 260
- 2θ = 24.83°, d 3.586, I 525
- 2θ = 25.81°, d 3.452, I 436
- 2θ = 30.24°, d 2.955, I 1000
- 2θ = 32.00°, d 2.796, I 456
- 2θ = 35.83°, d 2.506, I 579
- 2θ = 36.46°, d 2.464, I 546
- 2θ = 38.24°, d 2.354, I 473
- 2θ = 47.34°, d 1.920, I 258
- 2θ = 51.66°, d 1.769, I 277


No. 2
The following is a calculated powder diffraction line list of YH4Br4. It was derived from a structure optimized by DFT (GGA-PBE), using Cu Kα X-rays.
Neutral-atom scattering factors, no anomalous dispersion.

Structure:
Unit cell a=9.979 b=9.979 c=3.870 alpha=90.00 beta=90.00 gamma=90.00
Space group I4/m (No. 87)
Asymmetric unit:
Y  0.000  0.000  0.000 (multiplicity 2)
H  0.048  0.229  0.000 (multiplicity 8)
Br  0.050  0.237  0.500 (multiplicity 8)

Most intense lines, 10° ≤ 2θ ≤ 80°, by angle:
- 2θ = 12.55°, d 7.056, I 491
- 2θ = 25.24°, d 3.528, I 214
- 2θ = 28.28°, d 3.156, I 380
- 2θ = 30.58°, d 2.924, I 1000
- 2θ = 36.00°, d 2.495, I 237
- 2θ = 40.05°, d 2.251, I 465
- 2θ = 44.14°, d 2.052, I 188
- 2θ = 53.55°, d 1.711, I 158
- 2θ = 61.38°, d 1.510, I 150
- 2θ = 73.94°, d 1.282, I 119


No. 3
The following is a calculated powder diffraction line list of Ru2PtBr. It was derived from a structure optimized by DFT (GGA-PBE), using Cu Kα X-rays.
Neutral-atom scattering factors, no anomalous dispersion.

Structure:
Unit cell a=2.819 b=3.548 c=7.102 alpha=90.00 beta=90.00 gamma=90.00
Space group Pmm2 (No. 25)
Asymmetric unit:
Ru  0.000  0.000  0.000 (multiplicity 1)
Ru  0.500  0.500  0.171 (multiplicity 1)
Pt  0.000  0.000  0.384 (multiplicity 1)
Br  0.000  0.500  0.714 (multiplicity 1)

Most intense lines, 10° ≤ 2θ ≤ 80°, by angle:
- 2θ = 12.46°, d 7.102, I 728
- 2θ = 31.74°, d 2.819, I 317
- 2θ = 35.78°, d 2.510, I 1000
- 2θ = 40.88°, d 2.207, I 722
- 2θ = 42.91°, d 2.108, I 664
- 2θ = 46.09°, d 1.969, I 245
- 2θ = 50.34°, d 1.813, I 436
- 2θ = 51.51°, d 1.774, I 298
- 2θ = 67.76°, d 1.383, I 223
- 2θ = 74.89°, d 1.268, I 281


No. 4
The following is a calculated powder diffraction line list of PrNdEr2Tm5. It was derived from a structure optimized by DFT (GGA-PBE), using Cu Kα X-rays.
Neutral-atom scattering factors, no anomalous dispersion.

Structure:
Unit cell a=8.867 b=8.867 c=14.674 alpha=90.00 beta=90.00 gamma=90.00
Space group I4/mcm (No. 140)
Asymmetric unit:
Pr  0.000  0.000  0.250 (multiplicity 4)
Nd  0.000  0.500  0.250 (multiplicity 4)
Er  0.113  0.387  0.000 (multiplicity 8)
Tm  0.000  0.000  0.000 (multiplicity 4)
Tm  0.203  0.297  0.370 (multiplicity 16)

Most intense lines, 10° ≤ 2θ ≤ 80°, by angle:
- 2θ = 28.47°, d 3.135, I 506
- 2θ = 28.99°, d 3.080, I 546
- 2θ = 31.66°, d 2.826, I 1000
- 2θ = 31.92°, d 2.804, I 179
- 2θ = 37.06°, d 2.425, I 226
- 2θ = 38.15°, d 2.359, I 193
- 2θ = 42.48°, d 2.128, I 177
- 2θ = 49.71°, d 1.834, I 132
- 2θ = 52.46°, d 1.744, I 167
- 2θ = 58.28°, d 1.583, I 131


No. 5
The following is a calculated powder diffraction line list of Tb2Tm3Sc7. It was derived from a structure optimized by DFT (GGA-PBE), using Cu Kα X-rays.
Neutral-atom scattering factors, no anomalous dispersion.

Structure:
Unit cell a=3.465 b=5.471 c=18.584 alpha=90.00 beta=95.33 gamma=90.00
Space group P2/m (No. 10)
Asymmetric unit:
Tb  0.140  0.000  0.280 (multiplicity 2)
Tm  0.000  0.000  0.000 (multiplicity 1)
Tm  0.336  0.500  0.670 (multiplicity 2)
Sc  0.081  0.500  0.162 (multiplicity 2)
Sc  0.285  0.000  0.570 (multiplicity 2)
Sc  0.432  0.000  0.864 (multiplicity 2)
Sc  0.500  0.500  0.000 (multiplicity 1)

Most intense lines, 10° ≤ 2θ ≤ 80°, by angle:
- 2θ = 14.36°, d 6.168, I 615
- 2θ = 25.21°, d 3.532, I 238
- 2θ = 30.64°, d 2.918, I 243
- 2θ = 31.41°, d 2.848, I 196
- 2θ = 32.74°, d 2.736, I 406
- 2θ = 33.88°, d 2.646, I 211
- 2θ = 35.04°, d 2.561, I 1000
- 2θ = 37.79°, d 2.381, I 209
- 2θ = 47.82°, d 1.902, I 159
- 2θ = 59.93°, d 1.543, I 212


No. 6
The following is a calculated powder diffraction line list of BeTl2. It was derived from a structure optimized by DFT (GGA-PBE), using Cu Kα X-rays.
Neutral-atom scattering factors, no anomalous dispersion.

Structure:
Unit cell a=6.392 b=6.436 c=3.531 alpha=90.00 beta=90.00 gamma=90.00
Space group Pnnm (No. 58)
Asymmetric unit:
Be  0.000  0.000  0.000 (multiplicity 2)
Tl  0.213  0.227  0.500 (multiplicity 4)

Most intense lines, 10° ≤ 2θ ≤ 80°, by angle:
- 2θ = 27.72°, d 3.218, I 348
- 2θ = 27.92°, d 3.196, I 297
- 2θ = 31.25°, d 2.863, I 115
- 2θ = 32.13°, d 2.786, I 1000
- 2θ = 39.75°, d 2.268, I 232
- 2θ = 51.85°, d 1.763, I 298
- 2θ = 52.11°, d 1.755, I 163
- 2θ = 58.12°, d 1.587, I 75
- 2θ = 59.74°, d 1.548, I 84
- 2θ = 67.20°, d 1.393, I 101


No. 7
The following is a calculated powder diffraction line list of Sm3Pd3Au. It was derived from a structure optimized by DFT (GGA-PBE), using Cu Kα X-rays.
Neutral-atom scattering factors, no anomalous dispersion.

Structure:
Unit cell a=10.710 b=3.915 c=15.926 alpha=90.00 beta=104.47 gamma=90.00
Space group C2/m (No. 12)
Asymmetric unit:
Sm  0.010  0.000  0.386 (multiplicity 4)
Sm  0.110  0.000  0.925 (multiplicity 4)
Sm  0.220  0.000  0.221 (multiplicity 4)
Pd  0.005  0.500  0.778 (multiplicity 4)
Pd  0.112  0.500  0.074 (multiplicity 4)
Pd  0.138  0.500  0.526 (multiplicity 4)
Au  0.219  0.500  0.366 (multiplicity 4)

Most intense lines, 10° ≤ 2θ ≤ 80°, by angle:
- 2θ = 31.21°, d 2.866, I 827
- 2θ = 32.19°, d 2.781, I 1000
- 2θ = 33.60°, d 2.667, I 504
- 2θ = 33.99°, d 2.637, I 376
- 2θ = 38.04°, d 2.365, I 377
- 2θ = 38.68°, d 2.328, I 842
- 2θ = 39.39°, d 2.287, I 542
- 2θ = 40.97°, d 2.203, I 443
- 2θ = 41.09°, d 2.197, I 291
- 2θ = 46.39°, d 1.957, I 493


No. 8
The following is a calculated powder diffraction line list of CsAcTaN3. It was derived from a structure optimized by DFT (GGA-PBE), using Cu Kα X-rays.
Neutral-atom scattering factors, no anomalous dispersion.

Structure:
Unit cell a=14.695 b=4.138 c=8.831 alpha=90.00 beta=105.12 gamma=90.00
Space group C2/m (No. 12)
Asymmetric unit:
Cs  0.141  0.000  0.060 (multiplicity 4)
Ac  0.161  0.000  0.589 (multiplicity 4)
Ta  0.010  0.500  0.326 (multiplicity 4)
N  0.012  0.000  0.334 (multiplicity 4)
N  0.129  0.500  0.766 (multiplicity 4)
N  0.155  0.500  0.385 (multiplicity 4)

Most intense lines, 10° ≤ 2θ ≤ 80°, by angle:
- 2θ = 10.38°, d 8.525, I 613
- 2θ = 27.07°, d 3.294, I 416
- 2θ = 28.22°, d 3.162, I 499
- 2θ = 28.67°, d 3.114, I 1000
- 2θ = 29.60°, d 3.018, I 937
- 2θ = 38.06°, d 2.364, I 248
- 2θ = 43.75°, d 2.069, I 232
- 2θ = 49.63°, d 1.837, I 248
- 2θ = 52.21°, d 1.752, I 141
- 2θ = 52.88°, d 1.731, I 180


No. 9
The following is a calculated powder diffraction line list of Nd5Ho6Tm. It was derived from a structure optimized by DFT (GGA-PBE), using Cu Kα X-rays.
Neutral-atom scattering factors, no anomalous dispersion.

Structure:
Unit cell a=5.085 b=10.087 c=15.255 alpha=90.00 beta=90.00 gamma=90.00
Space group Immm (No. 71)
Asymmetric unit:
Nd  0.000  0.000  0.000 (multiplicity 2)
Nd  0.000  0.000  0.335 (multiplicity 4)
Nd  0.000  0.500  0.333 (multiplicity 4)
Ho  0.000  0.248  0.500 (multiplicity 4)
Ho  0.000  0.251  0.166 (multiplicity 8)
Tm  0.000  0.500  0.000 (multiplicity 2)

Most intense lines, 10° ≤ 2θ ≤ 80°, by angle:
- 2θ = 30.53°, d 2.928, I 1000
- 2θ = 35.30°, d 2.543, I 340
- 2θ = 35.60°, d 2.522, I 166
- 2θ = 50.78°, d 1.798, I 122
- 2θ = 51.01°, d 1.790, I 240
- 2θ = 60.42°, d 1.532, I 288
- 2θ = 60.83°, d 1.523, I 141
- 2θ = 63.56°, d 1.464, I 124
- 2θ = 74.66°, d 1.271, I 39
- 2θ = 75.39°, d 1.261, I 19


No. 10
The following is a calculated powder diffraction line list of BaAgBSe3. It was derived from a structure optimized by DFT (GGA-PBE), using Cu Kα X-rays.
Neutral-atom scattering factors, no anomalous dispersion.

Structure:
Unit cell a=12.019 b=7.008 c=8.464 alpha=90.00 beta=114.51 gamma=90.00
Space group C2/m (No. 12)
Asymmetric unit:
Ba  0.197  0.000  0.229 (multiplicity 4)
Ag  0.000  0.209  0.500 (multiplicity 4)
B  0.034  0.500  0.237 (multiplicity 4)
Se  0.063  0.258  0.820 (multiplicity 8)
Se  0.212  0.500  0.335 (multiplicity 4)

Most intense lines, 10° ≤ 2θ ≤ 80°, by angle:
- 2θ = 23.10°, d 3.851, I 189
- 2θ = 29.80°, d 2.998, I 755
- 2θ = 29.91°, d 2.987, I 621
- 2θ = 30.30°, d 2.950, I 1000
- 2θ = 31.77°, d 2.816, I 283
- 2θ = 33.57°, d 2.670, I 189
- 2θ = 34.91°, d 2.570, I 379
- 2θ = 43.72°, d 2.071, I 248
- 2θ = 52.21°, d 1.752, I 254
- 2θ = 53.45°, d 1.714, I 283


No. 11
The following is a calculated powder diffraction line list of Pm2Y2TmSc. It was derived from a structure optimized by DFT (GGA-PBE), using Cu Kα X-rays.
Neutral-atom scattering factors, no anomalous dispersion.

Structure:
Unit cell a=7.006 b=5.555 c=9.637 alpha=90.00 beta=90.00 gamma=90.00
Space group Pmma (No. 51)
Asymmetric unit:
Pm  0.250  0.000  0.146 (multiplicity 2)
Pm  0.250  0.500  0.686 (multiplicity 2)
Y  0.000  0.000  0.500 (multiplicity 2)
Y  0.250  0.500  0.343 (multiplicity 2)
Tm  0.000  0.500  0.000 (multiplicity 2)
Sc  0.250  0.000  0.821 (multiplicity 2)

Most intense lines, 10° ≤ 2θ ≤ 80°, by angle:
- 2θ = 22.41°, d 3.968, I 184
- 2θ = 31.59°, d 2.833, I 1000
- 2θ = 32.20°, d 2.780, I 969
- 2θ = 45.73°, d 1.984, I 344
- 2θ = 52.22°, d 1.752, I 85
- 2θ = 57.03°, d 1.615, I 344
- 2θ = 57.42°, d 1.605, I 168
- 2θ = 62.70°, d 1.482, I 279
- 2θ = 67.38°, d 1.390, I 100
- 2θ = 76.29°, d 1.248, I 85


No. 12
The following is a calculated powder diffraction line list of Ac4CuPb8. It was derived from a structure optimized by DFT (GGA-PBE), using Cu Kα X-rays.
Neutral-atom scattering factors, no anomalous dispersion.

Structure:
Unit cell a=4.737 b=4.881 c=18.554 alpha=90.00 beta=90.00 gamma=90.00
Space group Pmm2 (No. 25)
Asymmetric unit:
Ac  0.000  0.000  0.000 (multiplicity 1)
Ac  0.000  0.500  0.493 (multiplicity 1)
Ac  0.500  0.000  0.792 (multiplicity 1)
Ac  0.500  0.500  0.293 (multiplicity 1)
Cu  0.000  0.500  0.711 (multiplicity 1)
Pb  0.000  0.000  0.333 (multiplicity 1)
Pb  0.000  0.000  0.635 (multiplicity 1)
Pb  0.000  0.500  0.142 (multiplicity 1)
Pb  0.000  0.500  0.855 (multiplicity 1)
Pb  0.500  0.000  0.151 (multiplicity 1)
Pb  0.500  0.000  0.449 (multiplicity 1)
Pb  0.500  0.500  0.635 (multiplicity 1)
Pb  0.500  0.500  0.967 (multiplicity 1)

Most intense lines, 10° ≤ 2θ ≤ 80°, by angle:
- 2θ = 28.87°, d 3.092, I 168
- 2θ = 30.00°, d 2.979, I 1000
- 2θ = 34.64°, d 2.589, I 88
- 2θ = 36.83°, d 2.440, I 183
- 2θ = 37.99°, d 2.368, I 168
- 2θ = 47.46°, d 1.916, I 91
- 2θ = 53.95°, d 1.700, I 125
- 2θ = 62.17°, d 1.493, I 134
- 2θ = 62.34°, d 1.490, I 88
- 2θ = 63.75°, d 1.460, I 127


No. 13
The following is a calculated powder diffraction line list of PrY2F11. It was derived from a structure optimized by DFT (GGA-PBE), using Cu Kα X-rays.
Neutral-atom scattering factors, no anomalous dispersion.

Structure:
Unit cell a=8.455 b=10.373 c=11.606 alpha=90.00 beta=90.00 gamma=90.00
Space group Ibam (No. 72)
Asymmetric unit:
Pr  0.000  0.000  0.250 (multiplicity 4)
Y  0.158  0.311  0.000 (multiplicity 8)
F  0.000  0.500  0.000 (multiplicity 4)
F  0.105  0.174  0.139 (multiplicity 16)
F  0.109  0.305  0.500 (multiplicity 8)
F  0.211  0.078  0.369 (multiplicity 16)

Most intense lines, 10° ≤ 2θ ≤ 80°, by angle:
- 2θ = 13.51°, d 6.554, I 387
- 2θ = 20.44°, d 4.345, I 1000
- 2θ = 21.51°, d 4.131, I 223
- 2θ = 23.00°, d 3.867, I 618
- 2θ = 23.99°, d 3.710, I 324
- 2θ = 26.08°, d 3.417, I 197
- 2θ = 41.57°, d 2.172, I 214
- 2θ = 42.03°, d 2.150, I 273
- 2θ = 44.30°, d 2.044, I 324
- 2θ = 45.71°, d 1.985, I 252